This entry pairs a crystal structure of Cs2Te2Au3 with its computed X-ray diffraction stick pattern. Radiation: λ = 1.5418 Å (Cu Kα). Structure: a structure optimized by DFT (GGA-PBE).

Peak list (10 most intense, 2θ from 10° to 80°, in order of rising 2θ)
| 2theta | I_rel |
| --- | --- |
| 11.75 | 592 |
| 20.42 | 598 |
| 23.63 | 413 |
| 26.46 | 292 |
| 29.04 | 584 |
| 31.43 | 244 |
| 33.66 | 1000 |
| 35.77 | 200 |
| 48.28 | 353 |
| 48.40 | 351 |

Atomic structure:
abc: 9.217 9.217 9.217
angles: 109.41 109.41 109.41
Positions (direct):
Cs  0.000  0.000  0.000
Cs  0.004  0.512  0.505
Cs  0.505  0.004  0.512
Cs  0.512  0.505  0.004
Te  0.004  0.008  0.504
Te  0.008  0.504  0.004
Te  0.501  0.501  0.501
Te  0.504  0.004  0.008
Au  0.240  0.754  0.988
Au  0.255  0.521  0.270
Au  0.270  0.255  0.521
Au  0.521  0.270  0.255
Au  0.754  0.989  0.240
Au  0.989  0.240  0.754

***

This entry pairs a crystal structure of CsTe4Au with its computed X-ray diffraction stick pattern. Radiation: λ = 1.5418 Å (Cu Kα). Structure: a structure optimized by DFT (GGA-PBE).

Peak list (10 most intense, 2θ from 10° to 80°, in order of rising 2θ)
| 2theta | I_rel |
| --- | --- |
| 16.11 | 323 |
| 19.94 | 585 |
| 25.46 | 701 |
| 28.35 | 260 |
| 29.45 | 1000 |
| 31.62 | 267 |
| 32.55 | 364 |
| 37.20 | 254 |
| 39.95 | 257 |
| 43.69 | 834 |

Atomic structure:
abc: 6.297 6.297 11.317
angles: 90.00 90.00 90.00
Positions (direct):
Cs  0.250  0.750  0.250
Cs  0.750  0.250  0.750
Te  0.002  0.250  0.045
Te  0.250  0.002  0.545
Te  0.250  0.498  0.545
Te  0.498  0.250  0.045
Te  0.502  0.750  0.955
Te  0.750  0.502  0.455
Te  0.750  0.998  0.455
Te  0.998  0.750  0.955
Au  0.250  0.750  0.750
Au  0.750  0.250  0.250

***

This entry pairs a crystal structure of Cs2Te2Au with its computed X-ray diffraction stick pattern. Radiation: λ = 1.5418 Å (Cu Kα). Structure: a structure optimized by DFT (GGA-PBE).

Peak list (10 most intense, 2θ from 10° to 80°, in order of rising 2θ)
| 2theta | I_rel |
| --- | --- |
| 13.26 | 777 |
| 23.87 | 489 |
| 24.10 | 548 |
| 25.64 | 756 |
| 26.38 | 1000 |
| 28.87 | 669 |
| 32.75 | 601 |
| 35.37 | 713 |
| 41.83 | 370 |
| 44.42 | 392 |

Atomic structure:
abc: 13.711 13.711 7.677
angles: 90.00 90.00 161.88
Positions (direct):
Cs  0.049  0.951  0.500
Cs  0.193  0.807  0.153
Cs  0.807  0.193  0.653
Cs  0.951  0.049  0.000
Te  0.185  0.815  0.648
Te  0.429  0.571  0.536
Te  0.571  0.429  0.036
Te  0.815  0.185  0.148
Au  0.360  0.640  0.293
Au  0.640  0.360  0.793

***

This entry pairs a crystal structure of CsTe2Au2 with its computed X-ray diffraction stick pattern. Radiation: λ = 1.5418 Å (Cu Kα). Structure: a structure optimized by DFT (GGA-PBE).

Peak list (10 most intense, 2θ from 10° to 80°, in order of rising 2θ)
| 2theta | I_rel |
| --- | --- |
| 12.22 | 801 |
| 26.40 | 720 |
| 29.46 | 1000 |
| 36.61 | 612 |
| 38.12 | 666 |
| 46.41 | 568 |
| 46.97 | 295 |
| 55.01 | 231 |
| 63.64 | 230 |
| 74.77 | 321 |

Atomic structure:
abc: 4.721 4.721 14.490
angles: 90.00 90.00 90.00
Positions (direct):
Cs  0.000  0.000  0.000
Cs  0.500  0.500  0.500
Te  0.000  0.000  0.359
Te  0.000  0.000  0.641
Te  0.500  0.500  0.141
Te  0.500  0.500  0.859
Au  0.000  0.500  0.250
Au  0.000  0.500  0.750
Au  0.500  0.000  0.250
Au  0.500  0.000  0.750

***

This entry pairs a crystal structure of Cs3Te4Au with its computed X-ray diffraction stick pattern. Radiation: λ = 1.5418 Å (Cu Kα). Structure: a structure optimized by DFT (GGA-PBE).

Peak list (10 most intense, 2θ from 10° to 80°, in order of rising 2θ)
| 2theta | I_rel |
| --- | --- |
| 11.71 | 265 |
| 15.77 | 205 |
| 22.81 | 1000 |
| 23.55 | 250 |
| 25.33 | 245 |
| 29.75 | 353 |
| 30.40 | 400 |
| 32.81 | 266 |
| 46.60 | 411 |
| 48.49 | 241 |

Atomic structure:
abc: 6.385 11.236 10.209
angles: 90.00 90.00 90.00
Positions (direct):
Cs  0.000  0.000  0.000
Cs  0.000  0.222  0.369
Cs  0.000  0.778  0.369
Cs  0.500  0.278  0.869
Cs  0.500  0.500  0.500
Cs  0.500  0.722  0.869
Te  0.000  0.371  0.696
Te  0.000  0.629  0.696
Te  0.237  0.000  0.648
Te  0.263  0.500  0.148
Te  0.500  0.129  0.196
Te  0.500  0.871  0.196
Te  0.737  0.500  0.148
Te  0.763  0.000  0.648
Au  0.000  0.500  0.933
Au  0.500  0.000  0.433

***

This entry pairs a crystal structure of CsTh2Te6Au2 with its computed X-ray diffraction stick pattern. Radiation: λ = 1.5418 Å (Cu Kα). Structure: a structure optimized by DFT (GGA-PBE).

Peak list (10 most intense, 2θ from 10° to 80°, in order of rising 2θ)
| 2theta | I_rel |
| --- | --- |
| 12.39 | 251 |
| 12.84 | 534 |
| 23.46 | 250 |
| 23.88 | 1000 |
| 25.17 | 368 |
| 31.61 | 369 |
| 32.62 | 202 |
| 33.68 | 228 |
| 36.42 | 241 |
| 43.65 | 251 |

Atomic structure:
abc: 8.388 8.561 8.565
angles: 92.84 116.57 117.92
Positions (direct):
Cs  0.000  0.000  0.000
Th  0.328  0.657  0.990
Th  0.672  0.343  0.010
Te  0.149  0.667  0.244
Te  0.272  0.929  0.764
Te  0.463  0.527  0.746
Te  0.537  0.473  0.254
Te  0.728  0.071  0.236
Te  0.851  0.333  0.756
Au  0.044  0.300  0.580
Au  0.956  0.700  0.420